Diffraction record for MgFe4O4F4. The X-ray diffraction stick pattern is calculated, not measured: it uses a PBE+U-relaxed structure and Cu Kα, 1.54184 Å.
Kinematic intensities with the Lorentz-polarization factor, no thermal factor.

The 6 most intense peaks (2θ from 15° to 90°), in order of rising 2θ:
- hkl 0 1 -2, 2θ = 22.84°, I 56
- hkl 0 1 2, 2θ = 26.94°, I 82
- hkl 0 1 -3, 2θ = 29.88°, I 57
- hkl 1 -1 0, 2θ = 33.83°, I 36
- hkl 0 2 -1, 2θ = 34.22°, I 100
- hkl 1 0 2, 2θ = 34.96°, I 34

```
data_MgFe4O4F4
_chemical_formula_sum 'Mg1 Fe4 O4 F4'
_cell_length_a 3.0552
_cell_length_b 5.2766
_cell_length_c 9.9200
_cell_angle_alpha 99.26
_cell_angle_beta 91.13
_cell_angle_gamma 90.53
_space_group_name_H-M_alt 'P 1'
_space_group_IT_number 1
_space_group_name_Hall 'P 1'
loop_
_atom_site_label
_atom_site_fract_x
_atom_site_fract_y
_atom_site_fract_z
Mg1 0.0000 0.0000 0.0000
Fe1 0.0242 0.1201 0.2869
Fe2 0.0476 0.2456 0.7136
Fe3 0.5072 0.4863 0.0284
Fe4 0.5360 0.7431 0.5092
O1 0.0152 0.3064 0.9102
O2 0.0448 0.8937 0.6096
O3 0.5188 0.1862 0.1517
O4 0.5279 0.9831 0.3772
F1 0.0325 0.4943 0.3965
F2 0.4927 0.8070 0.9116
F3 0.5427 0.4392 0.6237
F4 0.9981 0.7376 0.1328
```